Diffraction record for Ca9Al2Co. The X-ray powder pattern is simulated, not measured: it uses the PBE geometry in Alexandria and Cu Kα (λ = 1.5418 Å).
Peak positions follow from Bragg's law for the DFT cell and can differ from measured ones.

Structural model:
a = 11.375 Å, b = 11.375 Å, c = 3.584 Å
α = 90.00°, β = 90.00°, γ = 119.69°
Atoms (fractional coordinates):
1 Ca 0.000 0.000 0.000
2 Ca 0.000 0.500 0.000
3 Ca 0.144 0.321 0.500
4 Ca 0.321 0.144 0.500
5 Ca 0.326 0.674 0.500
6 Ca 0.500 0.000 0.000
7 Ca 0.674 0.326 0.500
8 Ca 0.679 0.856 0.500
9 Ca 0.856 0.679 0.500
10 Al 0.167 0.833 0.000
11 Al 0.833 0.167 0.000
12 Co 0.500 0.500 0.000

Peak list (6 most intense, 2θ = 10–90°, in order of rising 2θ)
two_theta, I_rel
29.45, 33
30.84, 100
31.31, 45
31.46, 91
44.55, 22
61.10, 34

***

Diffraction record for Pm2NdUS4. The X-ray powder pattern is simulated, not measured: it uses the PBE geometry in Alexandria and Cu Kα (λ = 1.5418 Å).
Peak positions follow from Bragg's law for the DFT cell and can differ from measured ones.

Structural model:
a = 6.948 Å, b = 3.978 Å, c = 6.955 Å
α = 90.00°, β = 109.14°, γ = 90.00°
Atoms (fractional coordinates):
1 Pm 0.000 0.000 0.000
2 Pm 0.000 0.500 0.500
3 Nd 0.500 0.000 0.500
4 U 0.500 0.500 0.000
5 S 0.252 0.500 0.244
6 S 0.257 0.000 0.759
7 S 0.743 0.000 0.241
8 S 0.748 0.500 0.756

Peak list (6 most intense, 2θ = 10–90°, in order of rising 2θ)
two_theta, I_rel
27.16, 43
27.40, 42
31.60, 100
45.29, 49
53.48, 14
75.01, 22

***

Diffraction record for RbHgS. The X-ray powder pattern is simulated, not measured: it uses the PBE geometry in Alexandria and Cu Kα (λ = 1.5418 Å).
Peak positions follow from Bragg's law for the DFT cell and can differ from measured ones.

Structural model:
a = 4.807 Å, b = 8.313 Å, c = 8.365 Å
α = 98.74°, β = 106.29°, γ = 105.86°
Atoms (fractional coordinates):
1 Rb 0.000 0.000 0.000
2 Rb 0.388 0.404 0.402
3 Hg 0.686 0.507 0.893
4 Hg 0.711 0.897 0.508
5 S 0.693 0.288 0.116
6 S 0.695 0.116 0.287

Peak list (6 most intense, 2θ = 10–90°, in order of rising 2θ)
two_theta, I_rel
18.05, 37
20.41, 43
20.73, 45
22.91, 100
24.83, 36
33.42, 64

***

Diffraction record for Na3SrO8. The X-ray powder pattern is simulated, not measured: it uses the PBE geometry in Alexandria and Cu Kα (λ = 1.5418 Å).
Peak positions follow from Bragg's law for the DFT cell and can differ from measured ones.

Structural model:
a = 6.513 Å, b = 6.335 Å, c = 5.890 Å
α = 64.26°, β = 61.18°, γ = 54.55°
Atoms (fractional coordinates):
1 Na 0.000 0.000 0.000
2 Na 0.250 0.250 0.250
3 Na 0.750 0.750 0.750
4 Sr 0.500 0.500 0.500
5 O 0.071 0.929 0.590
6 O 0.167 0.329 0.671
7 O 0.329 0.167 0.833
8 O 0.410 0.590 0.929
9 O 0.590 0.410 0.071
10 O 0.671 0.833 0.167
11 O 0.833 0.671 0.329
12 O 0.929 0.071 0.410

Peak list (6 most intense, 2θ = 10–90°, in order of rising 2θ)
two_theta, I_rel
17.60, 50
30.42, 100
36.75, 47
45.04, 30
48.42, 48
51.70, 35

***

Diffraction record for Ac3PSe2. The X-ray powder pattern is simulated, not measured: it uses the PBE geometry in Alexandria and Cu Kα (λ = 1.5418 Å).
Peak positions follow from Bragg's law for the DFT cell and can differ from measured ones.

Structural model:
a = 4.434 Å, b = 6.289 Å, c = 13.493 Å
α = 90.00°, β = 90.00°, γ = 90.00°
Atoms (fractional coordinates):
1 Ac 0.000 0.000 0.000
2 Ac 0.000 0.000 0.343
3 Ac 0.000 0.000 0.657
4 Ac 0.500 0.500 0.157
5 Ac 0.500 0.500 0.500
6 Ac 0.500 0.500 0.843
7 P 0.000 0.500 0.000
8 P 0.500 0.000 0.500
9 Se 0.000 0.500 0.331
10 Se 0.000 0.500 0.669
11 Se 0.500 0.000 0.169
12 Se 0.500 0.000 0.831

Peak list (6 most intense, 2θ = 10–90°, in order of rising 2θ)
two_theta, I_rel
24.33, 42
24.56, 43
28.26, 100
28.38, 50
40.48, 77
47.99, 23

***

Diffraction record for Sm4SnHg7. The X-ray powder pattern is simulated, not measured: it uses the PBE geometry in Alexandria and Cu Kα (λ = 1.5418 Å).
Peak positions follow from Bragg's law for the DFT cell and can differ from measured ones.

Structural model:
a = 7.395 Å, b = 7.395 Å, c = 10.644 Å
α = 119.47°, β = 119.47°, γ = 43.46°
Atoms (fractional coordinates):
1 Sm 0.075 0.075 0.271
2 Sm 0.239 0.239 0.810
3 Sm 0.761 0.761 0.190
4 Sm 0.925 0.925 0.729
5 Sn 0.500 0.500 0.500
6 Hg 0.000 0.000 0.500
7 Hg 0.148 0.148 0.040
8 Hg 0.312 0.312 0.575
9 Hg 0.420 0.420 0.155
10 Hg 0.580 0.580 0.845
11 Hg 0.688 0.688 0.425
12 Hg 0.852 0.852 0.960

Peak list (6 most intense, 2θ = 10–90°, in order of rising 2θ)
two_theta, I_rel
29.27, 58
32.70, 74
33.79, 100
39.99, 51
44.45, 37
59.07, 20

***

Diffraction record for Zn3Cu8. The X-ray powder pattern is simulated, not measured: it uses the PBE geometry in Alexandria and Cu Kα (λ = 1.5418 Å).
Peak positions follow from Bragg's law for the DFT cell and can differ from measured ones.

Structural model:
a = 4.495 Å, b = 4.495 Å, c = 9.526 Å
α = 104.37°, β = 104.37°, γ = 47.96°
Atoms (fractional coordinates):
1 Zn 0.000 0.000 0.000
2 Zn 0.094 0.094 0.639
3 Zn 0.906 0.906 0.361
4 Cu 0.182 0.182 0.271
5 Cu 0.273 0.273 0.911
6 Cu 0.363 0.363 0.547
7 Cu 0.455 0.455 0.182
8 Cu 0.545 0.545 0.818
9 Cu 0.637 0.637 0.453
10 Cu 0.727 0.727 0.089
11 Cu 0.818 0.818 0.729

Peak list (6 most intense, 2θ = 10–90°, in order of rising 2θ)
two_theta, I_rel
42.44, 100
42.55, 99
48.74, 33
49.77, 31
49.92, 30
72.35, 27

***

Diffraction record for BaSr2Fe. The X-ray powder pattern is simulated, not measured: it uses the PBE geometry in Alexandria and Cu Kα (λ = 1.5418 Å).
Peak positions follow from Bragg's law for the DFT cell and can differ from measured ones.

Structural model:
a = 4.002 Å, b = 4.002 Å, c = 10.328 Å
α = 90.00°, β = 90.00°, γ = 90.00°
Atoms (fractional coordinates):
1 Ba 0.000 0.000 0.000
2 Sr 0.500 0.500 0.327
3 Sr 0.500 0.500 0.673
4 Fe 0.000 0.000 0.500

Peak list (6 most intense, 2θ = 10–90°, in order of rising 2θ)
two_theta, I_rel
23.85, 42
28.21, 100
31.62, 59
41.63, 26
54.25, 31
63.23, 30

***

Diffraction record for Tb12Dy7Pb. The X-ray powder pattern is simulated, not measured: it uses the PBE geometry in Alexandria and Cu Kα (λ = 1.5418 Å).
Peak positions follow from Bragg's law for the DFT cell and can differ from measured ones.

Structural model:
a = 8.737 Å, b = 8.737 Å, c = 8.737 Å
α = 88.99°, β = 88.99°, γ = 88.99°
Atoms (fractional coordinates):
1 Tb 0.007 0.340 0.885
2 Tb 0.115 0.993 0.660
3 Tb 0.124 0.342 0.468
4 Tb 0.340 0.885 0.007
5 Tb 0.342 0.468 0.124
6 Tb 0.468 0.124 0.342
7 Tb 0.532 0.876 0.658
8 Tb 0.658 0.532 0.876
9 Tb 0.660 0.115 0.993
10 Tb 0.876 0.658 0.532
11 Tb 0.885 0.007 0.340
12 Tb 0.993 0.660 0.115
13 Dy 0.217 0.628 0.760
14 Dy 0.240 0.783 0.372
15 Dy 0.372 0.240 0.783
16 Dy 0.500 0.500 0.500
17 Dy 0.628 0.760 0.217
18 Dy 0.760 0.217 0.628
19 Dy 0.783 0.372 0.240
20 Pb 0.000 0.000 0.000

Peak list (6 most intense, 2θ = 10–90°, in order of rising 2θ)
two_theta, I_rel
30.22, 25
30.71, 21
30.95, 100
32.24, 70
32.59, 50
33.66, 31

***

Diffraction record for KGe3Pd6. The X-ray powder pattern is simulated, not measured: it uses the PBE geometry in Alexandria and Cu Kα (λ = 1.5418 Å).
Peak positions follow from Bragg's law for the DFT cell and can differ from measured ones.

Structural model:
a = 10.336 Å, b = 3.073 Å, c = 11.823 Å
α = 90.00°, β = 99.08°, γ = 90.00°
Atoms (fractional coordinates):
1 K 0.003 0.250 0.266
2 K 0.997 0.750 0.734
3 Ge 0.208 0.250 0.574
4 Ge 0.296 0.750 0.945
5 Ge 0.404 0.250 0.288
6 Ge 0.596 0.750 0.712
7 Ge 0.704 0.250 0.055
8 Ge 0.792 0.750 0.426
9 Pd 0.113 0.250 0.987
10 Pd 0.250 0.750 0.165
11 Pd 0.270 0.750 0.415
12 Pd 0.326 0.750 0.737
13 Pd 0.451 0.250 0.581
14 Pd 0.453 0.250 0.084
15 Pd 0.547 0.750 0.916
16 Pd 0.549 0.750 0.419
17 Pd 0.674 0.250 0.263
18 Pd 0.730 0.250 0.585
19 Pd 0.750 0.250 0.835
20 Pd 0.887 0.750 0.013

Peak list (6 most intense, 2θ = 10–90°, in order of rising 2θ)
two_theta, I_rel
33.47, 51
37.29, 97
39.52, 100
42.73, 91
43.26, 62
46.25, 51

***

Diffraction record for AcSbHPd2. The X-ray powder pattern is simulated, not measured: it uses the PBE geometry in Alexandria and Cu Kα (λ = 1.5418 Å).
Peak positions follow from Bragg's law for the DFT cell and can differ from measured ones.

Structural model:
a = 6.339 Å, b = 6.339 Å, c = 7.344 Å
α = 90.00°, β = 90.00°, γ = 138.70°
Atoms (fractional coordinates):
1 Ac 0.072 0.928 0.750
2 Ac 0.928 0.072 0.250
3 Sb 0.213 0.787 0.250
4 Sb 0.787 0.213 0.750
5 H 0.500 0.500 0.000
6 H 0.500 0.500 0.500
7 Pd 0.352 0.648 0.553
8 Pd 0.352 0.648 0.947
9 Pd 0.648 0.352 0.053
10 Pd 0.648 0.352 0.447

Peak list (6 most intense, 2θ = 10–90°, in order of rising 2θ)
two_theta, I_rel
32.44, 64
32.58, 100
39.06, 17
40.35, 25
52.77, 18
57.96, 20

***

Diffraction record for Ce7Si2Ir2. The X-ray powder pattern is simulated, not measured: it uses the PBE geometry in Alexandria and Cu Kα (λ = 1.5418 Å).
Peak positions follow from Bragg's law for the DFT cell and can differ from measured ones.

Structural model:
a = 6.634 Å, b = 6.634 Å, c = 6.636 Å
α = 90.00°, β = 90.00°, γ = 106.32°
Atoms (fractional coordinates):
1 Ce 0.000 0.000 0.000
2 Ce 0.000 0.500 0.288
3 Ce 0.000 0.500 0.712
4 Ce 0.500 0.000 0.288
5 Ce 0.500 0.000 0.712
6 Ce 0.500 0.500 0.292
7 Ce 0.500 0.500 0.708
8 Si 0.152 0.152 0.500
9 Si 0.848 0.848 0.500
10 Ir 0.287 0.713 0.000
11 Ir 0.713 0.287 0.000

Peak list (6 most intense, 2θ = 10–90°, in order of rising 2θ)
two_theta, I_rel
26.12, 57
28.03, 52
33.76, 66
35.22, 42
38.89, 48
39.22, 100

***

Diffraction record for Mg6SnHg6. The X-ray powder pattern is simulated, not measured: it uses the PBE geometry in Alexandria and Cu Kα (λ = 1.5418 Å).
Peak positions follow from Bragg's law for the DFT cell and can differ from measured ones.

Structural model:
a = 6.180 Å, b = 6.180 Å, c = 9.423 Å
α = 90.00°, β = 90.00°, γ = 120.07°
Atoms (fractional coordinates):
1 Mg 0.000 0.000 0.165
2 Mg 0.000 0.000 0.835
3 Mg 0.333 0.667 0.000
4 Mg 0.333 0.667 0.500
5 Mg 0.667 0.333 0.000
6 Mg 0.667 0.333 0.500
7 Sn 0.000 0.000 0.500
8 Hg 0.000 0.500 0.248
9 Hg 0.000 0.500 0.752
10 Hg 0.500 0.000 0.248
11 Hg 0.500 0.000 0.752
12 Hg 0.500 0.500 0.248
13 Hg 0.500 0.500 0.752

Peak list (6 most intense, 2θ = 10–90°, in order of rising 2θ)
two_theta, I_rel
18.83, 73
25.19, 44
33.50, 96
34.73, 36
38.71, 100
51.71, 51